Simulated PXRD pattern of Tb7Sm4Mg for Cu Kα, from DFT lattice parameters and positions (GGA-PBE).

a = 3.5782 Å, b = 3.5782 Å, c = 34.6122 Å
α = 90.00°, β = 90.00°, γ = 120.00°
Space group P-3m1 (No. 164)
Asymmetric unit:
Tb (0.0000, 0.0000, 0.0000) x1
Tb (0.0000, 0.0000, 0.2533) x2
Tb (0.3333, 0.6667, 0.1698) x2
Tb (0.3333, 0.6667, 0.4227) x2
Sm (0.3333, 0.6667, 0.6615) x2
Sm (0.3333, 0.6667, 0.9152) x2
Mg (0.0000, 0.0000, 0.5000) x1

Largest 8 diffraction maxima, by angle, 2θ from 15° to 90°:
2theta	I_rel	index
30.6	1000	1 0 4
31.0	297	0 0 12
35.6	647	0 1 8
51.0	244	1 1 0
51.5	203	1 0 16
60.7	143	0 2 4
60.9	260	1 1 12
63.8	119	2 0 8